For Pr5Cd2Bi, DFT lattice parameters and positions (PBE) gives the simulated X-ray powder pattern in this record (Cu Ka).
Neutral-atom scattering factors, no anomalous dispersion.

Largest 8 diffraction maxima, in order of rising 2θ, 15 to 90 degrees two-theta:
Position (°2θ), d (Å), I_rel, index
28.53, 3.129, 16, 2 2 0
30.43, 2.937, 100, 2 1 3
30.72, 2.910, 23, 1 1 4
31.98, 2.798, 79, 3 1 0
33.97, 2.639, 24, 2 0 4
45.86, 1.979, 14, 4 2 0
51.92, 1.761, 12, 3 3 4
60.13, 1.539, 22, 5 2 3

Structure:
```
data_Pr5Cd2Bi
_space_group_name_H-M_alt 'I 4/m c m'
_space_group_IT_number 140
_space_group_name_Hall '-I 4 2c'
_cell_length_a 8.8490
_cell_length_b 8.8490
_cell_length_c 13.1489
_cell_angle_alpha 90.00
_cell_angle_beta 90.00
_cell_angle_gamma 90.00
loop_
_atom_site_label
_atom_site_type_symbol
_atom_site_fract_x
_atom_site_fract_y
_atom_site_fract_z
Pr1 Pr 0.0000 0.0000 0.0000
Pr2 Pr 0.1539 0.3461 0.1491
Cd1 Cd 0.1409 0.3591 0.5000
Bi1 Bi 0.0000 0.0000 0.2500
```

For PrCd2Bi2, DFT lattice parameters and positions (PBE) gives the simulated X-ray powder pattern in this record (Cu Ka).
Neutral-atom scattering factors, no anomalous dispersion.

Largest 8 diffraction maxima, in order of rising 2θ, 15 to 90 degrees two-theta:
Position (°2θ), d (Å), I_rel, index
29.13, 3.066, 12, 1 3 1
32.22, 2.778, 100, 1 5 1
34.12, 2.628, 14, 0 10 0
38.91, 2.314, 35, 2 0 0
52.67, 1.738, 10, 0 10 2
56.20, 1.637, 13, 2 0 2
66.28, 1.410, 25, 3 5 1
67.40, 1.389, 9, 2 10 2

Structure:
```
data_PrCd2Bi2
_space_group_name_H-M_alt 'C m c m'
_space_group_IT_number 63
_space_group_name_Hall '-C 2c 2'
_cell_length_a 4.6258
_cell_length_b 26.2805
_cell_length_c 4.6318
_cell_angle_alpha 90.00
_cell_angle_beta 90.00
_cell_angle_gamma 90.00
loop_
_atom_site_label
_atom_site_type_symbol
_atom_site_fract_x
_atom_site_fract_y
_atom_site_fract_z
Pr1 Pr 0.0000 0.1505 0.2500
Cd1 Cd 0.0000 0.0380 0.7500
Cd2 Cd 0.0000 0.4590 0.7500
Bi1 Bi 0.0000 0.2499 0.7500
Bi2 Bi 0.0000 0.3703 0.2500
```

For CdBi2Pt, DFT lattice parameters and positions (PBE) gives the simulated X-ray powder pattern in this record (Cu Ka).
Neutral-atom scattering factors, no anomalous dispersion.

Largest 8 diffraction maxima, in order of rising 2θ, 15 to 90 degrees two-theta:
Position (°2θ), d (Å), I_rel, index
26.62, 3.349, 31, 1 0 1
28.61, 3.121, 33, 1 1 1
33.93, 2.642, 100, 1 2 -1
34.74, 2.583, 39, 0 3 1
36.71, 2.448, 32, 0 2 2
38.97, 2.311, 51, 1 1 -2
44.77, 2.024, 31, 2 0 0
66.95, 1.398, 33, 1 5 2

Structure:
```
data_CdBi2Pt
_space_group_name_H-M_alt 'P 1 21/m 1'
_space_group_IT_number 11
_space_group_name_Hall '-P 2yb'
_cell_length_a 4.0492
_cell_length_b 8.5974
_cell_length_c 5.9577
_cell_angle_alpha 90.00
_cell_angle_beta 90.10
_cell_angle_gamma 90.00
loop_
_atom_site_label
_atom_site_type_symbol
_atom_site_fract_x
_atom_site_fract_y
_atom_site_fract_z
Cd1 Cd 0.2488 0.2500 0.1935
Bi1 Bi 0.2506 0.0534 0.7327
Pt1 Pt 0.2501 0.7500 0.4720
```

For CdBi12Pt7, DFT lattice parameters and positions (PBE) gives the simulated X-ray powder pattern in this record (Cu Ka).
Neutral-atom scattering factors, no anomalous dispersion.

Largest 8 diffraction maxima, in order of rising 2θ, 15 to 90 degrees two-theta:
Position (°2θ), d (Å), I_rel, index
27.74, 3.216, 21, 2 -1 3
29.69, 3.009, 18, 1 3 1
32.88, 2.724, 100, 4 -1 2
35.65, 2.518, 14, 3 2 1
40.85, 2.209, 8, 0 5 1
43.62, 2.075, 34, 1 3 4
50.57, 1.805, 27, 5 2 0
61.65, 1.505, 11, 2 6 2

Structure:
```
data_CdBi12Pt7
_space_group_name_H-M_alt 'R -3'
_space_group_IT_number 148
_space_group_name_Hall '-R 3'
_cell_length_a 13.0158
_cell_length_b 13.0158
_cell_length_c 11.0964
_cell_angle_alpha 90.00
_cell_angle_beta 90.00
_cell_angle_gamma 120.00
loop_
_atom_site_label
_atom_site_type_symbol
_atom_site_fract_x
_atom_site_fract_y
_atom_site_fract_z
Cd1 Cd 0.0000 0.0000 0.0000
Bi1 Bi 0.0436 0.4476 0.6385
Bi2 Bi 0.0443 0.8487 0.3573
Pt1 Pt 0.0000 0.0000 0.5000
Pt2 Pt 0.0364 0.8850 0.8086
```